1.
Calculated powder X-ray diffraction pattern of CeGdCuHg for a wavelength of 1.5418 Å, from a cell relaxed with PBE.
No peak broadening, texture or thermal motion is included.

Structural model:
Unit cell a=5.2037 b=5.2037 c=5.2037 alpha=60.00 beta=60.00 gamma=60.00
Positions (direct):
1 Ce 0.0000 0.0000 0.0000
2 Gd 0.5000 0.5000 0.5000
3 Cu 0.7500 0.7500 0.7500
4 Hg 0.2500 0.2500 0.2500

The 11 most intense peaks (2θ = 10–90°), in order of rising 2θ:
2θ/deg	Rel. int.
20.91	12
34.47	100
40.66	7
49.55	18
54.34	3
61.75	37
65.96	2
72.68	11
76.59	3
82.99	16
86.78	1

2.
Calculated powder X-ray diffraction pattern of Ac2CuSiN for a wavelength of 1.5418 Å, from a cell relaxed with PBE.
No peak broadening, texture or thermal motion is included.

Structural model:
Unit cell a=6.9140 b=4.0513 c=8.7293 alpha=90.00 beta=107.87 gamma=90.00
Positions (direct):
1 Ac 0.2025 0.2500 0.3889
2 Ac 0.2190 0.2500 0.9627
3 Ac 0.7810 0.7500 0.0373
4 Ac 0.7975 0.7500 0.6111
5 Cu 0.4631 0.7500 0.2474
6 Cu 0.5369 0.2500 0.7526
7 Si 0.3343 0.7500 0.6998
8 Si 0.6657 0.2500 0.3002
9 N 0.1587 0.7500 0.1646
10 N 0.8413 0.2500 0.8354

The 12 most intense peaks (2θ = 10–90°), in order of rising 2θ:
2θ/deg	Rel. int.
25.82	88
27.10	34
28.72	40
28.99	44
30.87	100
35.14	18
38.26	20
44.74	23
45.93	16
46.24	18
47.11	18
54.20	16

3.
Calculated powder X-ray diffraction pattern of Ho2SiB2Rh5 for a wavelength of 1.5418 Å, from a cell relaxed with PBE.
No peak broadening, texture or thermal motion is included.

Structural model:
Unit cell a=9.3475 b=9.3475 c=3.2136 alpha=90.00 beta=90.00 gamma=90.00
Positions (direct):
1 Ho 0.1757 0.3243 0.0000
2 Ho 0.3243 0.8243 0.0000
3 Ho 0.6757 0.1757 0.0000
4 Ho 0.8243 0.6757 0.0000
5 Si 0.0000 0.0000 0.0000
6 Si 0.5000 0.5000 0.0000
7 B 0.1225 0.6225 0.0000
8 B 0.3775 0.1225 0.0000
9 B 0.6225 0.8775 0.0000
10 B 0.8775 0.3775 0.0000
11 Rh 0.0000 0.5000 0.5000
12 Rh 0.0690 0.7853 0.5000
13 Rh 0.2147 0.0690 0.5000
14 Rh 0.2853 0.5690 0.5000
15 Rh 0.4310 0.2853 0.5000
16 Rh 0.5000 0.0000 0.5000
17 Rh 0.5690 0.7147 0.5000
18 Rh 0.7147 0.4310 0.5000
19 Rh 0.7853 0.9310 0.5000
20 Rh 0.9310 0.2147 0.5000

The 12 most intense peaks (2θ = 10–90°), in order of rising 2θ:
2θ/deg	Rel. int.
33.85	22
35.23	100
39.10	26
39.76	93
40.96	31
41.51	83
43.29	23
44.92	31
57.34	21
70.08	17
70.90	22
72.04	32

4.
Calculated powder X-ray diffraction pattern of Zr2PaNbN6 for a wavelength of 1.5418 Å, from a cell relaxed with PBE.
No peak broadening, texture or thermal motion is included.

Structural model:
Unit cell a=5.8699 b=5.8699 c=5.8699 alpha=57.24 beta=57.24 gamma=57.24
Positions (direct):
1 Zr 0.0000 0.0000 0.0000
2 Zr 0.4991 0.4991 0.4991
3 Pa 0.7783 0.7783 0.7783
4 Nb 0.2815 0.2815 0.2815
5 N 0.1085 0.6843 0.3751
6 N 0.1846 0.5706 0.9117
7 N 0.3751 0.1085 0.6843
8 N 0.5706 0.9117 0.1846
9 N 0.6843 0.3751 0.1085
10 N 0.9117 0.1846 0.5706

The 12 most intense peaks (2θ = 10–90°), in order of rising 2θ:
2θ/deg	Rel. int.
19.20	20
21.91	30
30.51	100
31.83	91
36.88	12
44.67	39
49.40	25
53.38	15
55.89	39
56.71	25
66.54	20
74.93	15

5.
Calculated powder X-ray diffraction pattern of Na2Ag2Bi for a wavelength of 1.5418 Å, from a cell relaxed with PBE.
No peak broadening, texture or thermal motion is included.

Structural model:
Unit cell a=7.7948 b=7.7948 c=4.1177 alpha=90.00 beta=90.00 gamma=90.00
Positions (direct):
1 Na 0.1710 0.3290 0.0000
2 Na 0.3290 0.8290 0.0000
3 Na 0.6710 0.1710 0.0000
4 Na 0.8290 0.6710 0.0000
5 Ag 0.1275 0.6275 0.5000
6 Ag 0.3725 0.1275 0.5000
7 Ag 0.6275 0.8725 0.5000
8 Ag 0.8725 0.3725 0.5000
9 Bi 0.0000 0.0000 0.5000
10 Bi 0.5000 0.5000 0.5000

The 12 most intense peaks (2θ = 10–90°), in order of rising 2θ:
2θ/deg	Rel. int.
21.58	100
22.82	35
25.55	29
31.61	54
32.49	24
33.69	71
36.45	87
39.34	22
42.75	84
43.98	25
58.40	44
65.09	28

6.
Calculated powder X-ray diffraction pattern of PmHf2O for a wavelength of 1.5418 Å, from a cell relaxed with PBE.
No peak broadening, texture or thermal motion is included.

Structural model:
Unit cell a=8.8816 b=8.8816 c=8.8816 alpha=21.54 beta=21.54 gamma=21.54
Positions (direct):
1 Pm 0.0000 0.0000 0.0000
2 Hf 0.1213 0.1213 0.1213
3 Hf 0.8787 0.8787 0.8787
4 O 0.5000 0.5000 0.5000

The 12 most intense peaks (2θ = 10–90°), in order of rising 2θ:
2θ/deg	Rel. int.
10.20	31
30.93	42
31.31	100
31.89	21
34.10	19
39.64	41
41.95	79
55.36	36
64.78	31
66.01	19
69.60	15
71.81	16